For KBaBr3, a structure optimized by DFT (PBE) gives the simulated X-ray powder pattern in this record (copper Kα).
Neutral-atom scattering factors, no anomalous dispersion.

Largest 10 diffraction maxima, by intensity, 2θ = 5–70°:
2θ 31.67, d 2.826, intensity 100.0, hkl 0 1 3
2θ 28.74, d 3.107, intensity 66.1, hkl 0 2 0
2θ 14.25, d 6.213, intensity 58.2, hkl 0 1 0
2θ 30.70, d 2.912, intensity 55.9, hkl 2 1 1
2θ 15.67, d 5.654, intensity 44.4, hkl 1 0 1
2θ 42.72, d 2.117, intensity 41.4, hkl 1 2 3
2θ 43.27, d 2.091, intensity 39.2, hkl 2 2 2
2θ 30.94, d 2.891, intensity 39.1, hkl 1 0 3
2θ 25.34, d 3.515, intensity 33.8, hkl 2 0 0
2θ 38.68, d 2.328, intensity 21.5, hkl 2 2 0

Structure:
a = 7.029 Å, b = 6.213 Å, c = 9.514 Å
α = 90.00°, β = 90.00°, γ = 90.00°
Fractional coordinates of all 10 atoms:
K: 0.250 0.000 0.136
K: 0.750 0.000 0.864
Ba: 0.250 0.500 0.714
Ba: 0.750 0.500 0.286
Br: 0.000 0.500 0.000
Br: 0.250 0.000 0.779
Br: 0.250 0.500 0.373
Br: 0.500 0.500 0.000
Br: 0.750 0.000 0.221
Br: 0.750 0.500 0.627